Calculated XRD peak list of KSmV4O12 for λ = 1.5418 Å (Cu Kα), from a PBE+U-relaxed structure.
No peak broadening, texture or thermal motion is included.

Largest 10 diffraction maxima, by intensity, 10° ≤ 2θ ≤ 90°:
d = 4.519 Å, 2θ 19.64, rel. 100, (1 1 1)
d = 2.895 Å, 2θ 30.88, rel. 63, (0 2 2)
d = 2.963 Å, 2θ 30.16, rel. 57, (2 0 2)
d = 7.227 Å, 2θ 12.25, rel. 32, (1 0 0)
d = 5.791 Å, 2θ 15.30, rel. 30, (0 1 1)
d = 2.511 Å, 2θ 35.75, rel. 28, (2 2 0)
d = 2.845 Å, 2θ 31.45, rel. 23, (1 1 3)
d = 4.209 Å, 2θ 21.11, rel. 21, (1 0 2)
d = 1.803 Å, 2θ 50.64, rel. 20, (2 2 4)
d = 1.533 Å, 2θ 60.39, rel. 20, (4 2 2)

Atomic structure:
a b c (Å): 7.2274 6.9853 10.3555
angles (deg): 90.00 90.00 90.00
Space group Amm2 (No. 38)
Unique sites:
K1 0.0000 0.0000 0.0000 (multiplicity 2)
Sm1 0.5000 0.0000 0.5525 (multiplicity 2)
V1 0.2536 0.2424 0.2709 (multiplicity 8)
O1 0.0000 0.2248 0.7762 (multiplicity 4)
O2 0.2188 0.0000 0.2072 (multiplicity 4)
O3 0.2644 0.0000 0.7078 (multiplicity 4)
O4 0.3000 0.2245 0.4288 (multiplicity 8)
O5 0.5000 0.2337 0.2022 (multiplicity 4)